Entry 1:
The following is a simulated powder XRD pattern of Na3VS3O12. It was derived from a structure optimized by DFT (GGA+U), using Cu Kα, 1.54184 Å.
Kinematic intensities with the Lorentz-polarization factor, no thermal factor.

Most intense lines, 2θ = 5–70°, low angle first:
13.0°, 6.828 Å, I 49, (1 1 0); 22.1°, 4.025 Å, I 35, (3 -1 1); 24.4°, 3.643 Å, I 12, (2 0 2); 27.8°, 3.214 Å, I 100, (1 2 2); 28.9°, 3.091 Å, I 65, (1 3 1); 31.8°, 2.810 Å, I 14, (1 1 3); 33.5°, 2.675 Å, I 16, (4 -1 2); 34.4°, 2.604 Å, I 11, (5 -2 1); 37.0°, 2.428 Å, I 14, (3 0 3); 43.7°, 2.070 Å, I 16, (5 1 1)

Crystal structure
```
data_Na3VS3O12
_cell_length_a 13.6564
_cell_length_b 13.6564
_cell_length_c 9.2485
_cell_angle_alpha 90.00
_cell_angle_beta 90.00
_cell_angle_gamma 120.00
_space_group_name_H-M_alt 'R -3'
_space_group_IT_number 148
_space_group_name_Hall '-R 3'
loop_
_atom_site_label
_atom_site_fract_x
_atom_site_fract_y
_atom_site_fract_z
_atom_site_occupancy
Na1 0.0304 0.5899 0.3259 1
V1 0.0000 0.0000 0.0000 1
V2 0.0000 0.0000 0.5000 1
S1 0.0245 0.8373 0.2398 1
O1 0.0088 0.1319 0.6179 1
O2 0.0276 0.2870 0.7610 1
O3 0.0351 0.1365 0.8784 1
O4 0.0851 0.5196 0.8866 1
```


Entry 2:
The following is a simulated powder XRD pattern of Na3VS3O. It was derived from a structure optimized by DFT (GGA+U), using Cu Kα, 1.54184 Å.
Kinematic intensities with the Lorentz-polarization factor, no thermal factor.

Most intense lines, 2θ = 5–70°, low angle first:
14.7°, 6.012 Å, I 33, (0 2 0); 18.9°, 4.690 Å, I 100, (1 1 1); 28.4°, 3.141 Å, I 59, (3 1 0); 29.7°, 3.006 Å, I 55, (0 4 0); 29.9°, 2.986 Å, I 90, (0 0 2); 36.9°, 2.439 Å, I 30, (4 0 0); 41.7°, 2.164 Å, I 41, (3 1 2); 42.7°, 2.118 Å, I 49, (0 4 2); 47.0°, 1.934 Å, I 44, (3 5 0); 47.2°, 1.927 Å, I 30, (3 3 2)

Crystal structure
```
data_Na3VS3O
_cell_length_a 9.757
_cell_length_b 12.025
_cell_length_c 5.972
_cell_angle_alpha 90.00
_cell_angle_beta 90.00
_cell_angle_gamma 90.00
_space_group_name_H-M_alt 'C m c 21'
_space_group_IT_number 36
_space_group_name_Hall 'C 2c -2'
loop_
_atom_site_label
_atom_site_fract_x
_atom_site_fract_y
_atom_site_fract_z
_atom_site_occupancy
Na1 0.000 0.119 0.000 1
Na2 0.206 0.380 0.020 1
V1 0.000 0.296 0.422 1
S1 0.000 0.119 0.521 1
S2 0.189 0.376 0.537 1
O1 0.000 0.301 0.138 1
```


Entry 3:
The following is a simulated powder XRD pattern of NaV3S2O14. It was derived from a structure optimized by DFT (GGA+U), using Cu Kα, 1.54184 Å.
Kinematic intensities with the Lorentz-polarization factor, no thermal factor.

Most intense lines, 2θ = 5–70°, low angle first:
14.3°, 6.206 Å, I 36, (0 0 3); 15.3°, 5.779 Å, I 19, (1 0 1); 17.4°, 5.090 Å, I 100, (0 1 2); 28.8°, 3.103 Å, I 18, (0 0 6); 29.2°, 3.055 Å, I 94, (1 1 3); 29.8°, 3.000 Å, I 48, (0 2 1); 36.9°, 2.437 Å, I 26, (1 0 7); 47.2°, 1.926 Å, I 23, (0 3 3); 52.1°, 1.755 Å, I 20, (2 2 0); 58.1°, 1.587 Å, I 26, (0 2 10)

Crystal structure
```
data_NaV3S2O14
_cell_length_a 7.0203
_cell_length_b 7.0203
_cell_length_c 18.6185
_cell_angle_alpha 90.00
_cell_angle_beta 90.00
_cell_angle_gamma 120.00
_space_group_name_H-M_alt 'R 3 2'
_space_group_IT_number 155
_space_group_name_Hall 'R 3 2"'
loop_
_atom_site_label
_atom_site_fract_x
_atom_site_fract_y
_atom_site_fract_z
_atom_site_occupancy
Na1 0.0000 0.0000 0.0000 1
V1 0.0000 0.4561 0.5000 1
S1 0.0000 0.0000 0.2981 1
O1 0.0000 0.0000 0.3746 1
O2 0.0834 0.5458 0.8119 1
O3 0.1001 0.5415 0.3981 1
```


Entry 4:
The following is a simulated powder XRD pattern of Na3VSO3. It was derived from a structure optimized by DFT (GGA+U), using Cu Kα, 1.54184 Å.
Kinematic intensities with the Lorentz-polarization factor, no thermal factor.

Most intense lines, 2θ = 5–70°, low angle first:
18.6°, 4.766 Å, I 68, (0 1 2); 20.5°, 4.338 Å, I 61, (1 1 0); 27.8°, 3.208 Å, I 27, (2 0 2); 29.9°, 2.984 Å, I 32, (1 1 3); 31.4°, 2.852 Å, I 56, (1 0 4); 32.3°, 2.767 Å, I 30, (2 1 1); 35.9°, 2.505 Å, I 100, (3 0 0); 47.4°, 1.918 Å, I 39, (2 2 3); 49.0°, 1.857 Å, I 43, (1 1 6); 62.2°, 1.492 Å, I 24, (2 2 6)

Crystal structure
```
data_Na3VSO3
_cell_length_a 8.6761
_cell_length_b 8.6761
_cell_length_c 12.3316
_cell_angle_alpha 90.00
_cell_angle_beta 90.00
_cell_angle_gamma 120.00
_space_group_name_H-M_alt 'R 3 c'
_space_group_IT_number 161
_space_group_name_Hall 'R 3 -2"c'
loop_
_atom_site_label
_atom_site_fract_x
_atom_site_fract_y
_atom_site_fract_z
_atom_site_occupancy
Na1 0.0004 0.3067 0.0000 1
V1 0.0000 0.0000 0.2184 1
S1 0.0000 0.0000 0.4006 1
O1 0.0053 0.1918 0.1749 1
```


Number 2 is which compound? Na3VS3O